No. 1
# Ca2MnAs2H2O8
Simulated PXRD pattern, Cu Kα. Input: DFT lattice parameters and positions (PBE+U).
Neutral-atom scattering factors, no anomalous dispersion.

```
data_Ca2MnAs2H2O8
_chemical_formula_sum 'Ca4 Mn2 As4 H4 O16'
_cell_length_a 6.0849
_cell_length_b 12.5592
_cell_length_c 5.6386
_cell_angle_alpha 90.00
_cell_angle_beta 111.42
_cell_angle_gamma 90.00
_space_group_name_H-M_alt 'P 1 21/c 1'
_space_group_IT_number 14
loop_
_space_group_symop_operation_xyz
'x,y,z'
'-x,-y,-z'
'-x,y+1/2,-z+1/2'
'x,-y+1/2,z+1/2'
loop_
_atom_site_label
_atom_site_type_symbol
_atom_site_fract_x
_atom_site_fract_y
_atom_site_fract_z
Ca1 Ca 0.0623 0.1256 0.2562
Mn1 Mn 0.5000 0.0000 0.0000
As1 As 0.2899 0.6270 0.9334
H1 H 0.3670 0.1272 0.9557
O1 O 0.0649 0.7107 0.9222
O2 O 0.2152 0.5498 0.6589
O3 O 0.2648 0.5373 0.1661
O4 O 0.4374 0.1803 0.4855
```

Top 10 peaks for 2θ = 10–90°, in order of rising 2θ:
2θ/deg, I (rel.), (hkl)
17.17, 70.8, 1 1 0
26.47, 34.8, 1 3 0
27.25, 100.0, 0 3 1
28.21, 55.5, 1 3 -1
30.63, 72.5, 1 2 1
30.73, 44.9, 2 1 -1
31.92, 44.0, 1 0 -2
33.18, 35.5, 2 2 -1
43.26, 28.1, 1 4 -2
53.47, 26.6, 2 6 -1

No. 2
# V3P6WO24
Simulated PXRD pattern, Cu Kα. Input: DFT lattice parameters and positions (PBE+U).
Neutral-atom scattering factors, no anomalous dispersion.

```
data_V3P6WO24
_chemical_formula_sum 'V9 P18 W3 O72'
_cell_length_a 8.6155
_cell_length_b 8.6155
_cell_length_c 21.7855
_cell_angle_alpha 90.00
_cell_angle_beta 90.00
_cell_angle_gamma 120.00
_space_group_name_H-M_alt 'R 3'
_space_group_IT_number 146
_space_group_name_Hall 'R 3'
loop_
_atom_site_label
_atom_site_type_symbol
_atom_site_fract_x
_atom_site_fract_y
_atom_site_fract_z
V1 V 0.0000 0.0000 0.0000
V2 V 0.0000 0.0000 0.2168
V3 V 0.0000 0.0000 0.5003
P1 P 0.0010 0.2888 0.6060
P2 P 0.0068 0.7232 0.1088
W1 W 0.0000 0.0000 0.7167
O1 O 0.0268 0.8284 0.0502
O2 O 0.0280 0.8319 0.7668
O3 O 0.0287 0.1988 0.5501
O4 O 0.0303 0.1952 0.2687
O5 O 0.1641 0.6981 0.8329
O6 O 0.1649 0.4722 0.3313
O7 O 0.1664 0.6936 0.1148
O8 O 0.1674 0.4717 0.6153
```

Top 10 peaks for 2θ = 10–90°, in order of rising 2θ:
2θ/deg, I (rel.), (hkl)
12.54, 39.1, 1 0 1
14.39, 74.7, 0 1 2
20.19, 98.3, 1 0 4
20.62, 61.2, 1 1 0
24.02, 100.0, 1 1 3
29.01, 64.8, 0 2 4
32.24, 46.8, 2 -1 6
35.86, 24.6, 3 -1 4
36.11, 23.1, 3 0 0
53.13, 27.1, 2 1 10

No. 3
# V3O5F
Simulated PXRD pattern, Cu Kα. Input: DFT lattice parameters and positions (PBE+U).
Neutral-atom scattering factors, no anomalous dispersion.

```
data_V3O5F
_chemical_formula_sum 'V6 O10 F2'
_cell_length_a 4.6682
_cell_length_b 2.9705
_cell_length_c 13.9819
_cell_angle_alpha 90.00
_cell_angle_beta 92.53
_cell_angle_gamma 90.00
_space_group_name_H-M_alt 'P 1 2/m 1'
_space_group_IT_number 10
loop_
_space_group_symop_operation_xyz
'x,y,z'
'-x,-y,-z'
'-x,y,-z'
'x,-y,z'
loop_
_atom_site_label
_atom_site_type_symbol
_atom_site_fract_x
_atom_site_fract_y
_atom_site_fract_z
V1 V 0.0000 0.0000 0.0000
V2 V 0.0210 0.0000 0.6575
V3 V 0.4734 0.5000 0.8409
V4 V 0.5000 0.5000 0.5000
O1 O 0.1975 0.5000 0.9345
O2 O 0.2014 0.5000 0.5999
O3 O 0.2919 0.0000 0.4304
O4 O 0.2921 0.0000 0.7648
O5 O 0.3040 0.0000 0.1021
F1 F 0.1932 0.5000 0.2685
```

Top 10 peaks for 2θ = 10–90°, in order of rising 2θ:
2θ/deg, I (rel.), (hkl)
26.45, 100.0, 1 0 -3
27.66, 97.5, 1 0 3
35.85, 99.3, 1 1 0
40.48, 19.8, 1 1 -3
41.32, 19.7, 1 1 3
53.04, 58.7, 2 1 -3
54.42, 70.9, 2 0 -6
57.13, 18.7, 2 0 6
62.54, 17.1, 0 2 0
68.12, 39.4, 3 1 0

No. 4
# Li6V2OF11
Simulated PXRD pattern, Cu Kα. Input: DFT lattice parameters and positions (PBE+U).
Neutral-atom scattering factors, no anomalous dispersion.

```
data_Li6V2OF11
_chemical_formula_sum 'Li12 V4 O2 F22'
_cell_length_a 5.1241
_cell_length_b 8.7996
_cell_length_c 9.7726
_cell_angle_alpha 107.72
_cell_angle_beta 90.26
_cell_angle_gamma 90.63
_space_group_name_H-M_alt 'P 1'
_space_group_IT_number 1
loop_
_space_group_symop_operation_xyz
'x,y,z'
loop_
_atom_site_label
_atom_site_type_symbol
_atom_site_fract_x
_atom_site_fract_y
_atom_site_fract_z
Li1 Li 0.0000 0.0000 0.0000
Li2 Li 0.0010 0.6375 0.9196
Li3 Li 0.0054 0.3607 0.1475
Li4 Li 0.0237 0.2365 0.7241
Li5 Li 0.0285 0.1200 0.4215
Li6 Li 0.4956 0.7188 0.7299
Li7 Li 0.5005 0.9997 0.5003
Li8 Li 0.5019 0.6391 0.4205
Li9 Li 0.5049 0.3614 0.6491
Li10 Li 0.5224 0.2367 0.2238
Li11 Li 0.5274 0.1206 0.9223
Li12 Li 0.9939 0.7178 0.2302
V1 V 0.0101 0.4749 0.4622
V2 V 0.4952 0.8704 0.1802
V3 V 0.5091 0.4767 0.9630
V4 V 0.9940 0.8699 0.6802
O1 O 0.3598 0.6899 0.0791
O2 O 0.8544 0.6915 0.5797
F1 F 0.1511 0.0671 0.8165
F2 F 0.1555 0.7778 0.8204
F3 F 0.1565 0.2781 0.3237
F4 F 0.1573 0.5823 0.3288
F5 F 0.1988 0.4405 0.8357
F6 F 0.2009 0.9200 0.3125
F7 F 0.3000 0.1804 0.5731
F8 F 0.3288 0.8403 0.5806
F9 F 0.3429 0.5247 0.5707
F10 F 0.3540 0.3429 0.0678
F11 F 0.3569 0.0115 0.0795
F12 F 0.6513 0.0667 0.3162
F13 F 0.6563 0.2803 0.8255
F14 F 0.6558 0.7780 0.3210
F15 F 0.6567 0.5822 0.8280
F16 F 0.6997 0.4404 0.3361
F17 F 0.7017 0.9216 0.8137
F18 F 0.7992 0.1805 0.0733
F19 F 0.8303 0.8404 0.0802
F20 F 0.8436 0.5262 0.0715
F21 F 0.8536 0.3424 0.5677
F22 F 0.8572 0.0123 0.5805
```

Top 10 peaks for 2θ = 10–90°, in order of rising 2θ:
2θ/deg, I (rel.), (hkl)
18.78, 61.3, 0 1 -2
19.71, 32.9, 1 0 -1
19.85, 39.1, 1 0 1
21.04, 73.4, 1 1 -1
21.20, 35.2, 0 2 0
24.54, 33.5, 0 1 2
40.03, 47.0, 2 0 -2
40.27, 100.0, 2 0 2
40.40, 29.9, 1 3 -3
53.21, 34.5, 1 -3 5